# LiCr2Mo3O12
Calculated powder X-ray diffraction pattern, λ = 1.5418 Å (Cu Kα). Input: a PBE+U-relaxed structure.

```
LiCr2Mo3O12
1.0
6.8731 0.0000 0.0000
1.4959 6.8086 0.0000
0.8919 2.3497 11.6634
Li Cr Mo O
2 4 6 24
Direct
0.1741 0.4402 0.0807 Li
0.8259 0.5598 0.9193 Li
0.1940 0.8344 0.4801 Cr
0.1960 0.2281 0.8729 Cr
0.8040 0.7719 0.1271 Cr
0.8060 0.1656 0.5199 Cr
0.2461 0.9099 0.1443 Mo
0.2514 0.2951 0.5568 Mo
0.3046 0.7068 0.8189 Mo
0.6954 0.2932 0.1811 Mo
0.7486 0.7049 0.4432 Mo
0.7539 0.0901 0.8557 Mo
0.1043 0.7317 0.1142 O
0.1149 0.1339 0.5019 O
0.1610 0.5142 0.8956 O
0.1789 0.3097 0.7028 O
0.1808 0.9569 0.2819 O
0.2006 0.1523 0.0452 O
0.2107 0.9431 0.8654 O
0.2116 0.5412 0.4691 O
0.2796 0.7434 0.6700 O
0.4411 0.3701 0.1512 O
0.4928 0.1993 0.8621 O
0.4933 0.8165 0.4490 O
0.5067 0.1835 0.5510 O
0.5072 0.8007 0.1379 O
0.5589 0.6299 0.8488 O
0.7204 0.2566 0.3300 O
0.7884 0.4588 0.5309 O
0.7893 0.0569 0.1346 O
0.7994 0.8477 0.9548 O
0.8192 0.0431 0.7181 O
0.8211 0.6903 0.2972 O
0.8390 0.4858 0.1044 O
0.8851 0.8661 0.4981 O
0.8957 0.2683 0.8858 O
```

The 8 most intense peaks (15 to 90 degrees two-theta), in order of rising 2θ:
two_theta, d [Å], I/Imax, (hkl)
20.5, 4.335, 22, 1 1 2
22.7, 3.911, 40, 1 -1 1
22.9, 3.888, 100, 0 0 3
24.3, 3.660, 27, -1 1 2
26.6, 3.355, 76, 2 0 0
26.7, 3.333, 61, 1 2 1
27.3, 3.270, 20, 2 1 1
28.8, 3.103, 24, 0 1 -3